Starting from a crystal structure in Alexandria, relaxed with PBE+U, the powder diffractogram of Rb2TiVF6 was calculated for Cu Kα (λ = 1.5418 Å).
No peak broadening, texture or thermal motion is included.

Crystal structure
```
Rb2TiVF6
1.0
-3.030 3.030 4.279
3.030 -3.030 4.279
3.030 3.030 -4.279
Rb Ti V F
2 1 1 6
Direct
0.250 0.750 0.500
0.750 0.250 0.500
0.000 0.000 0.000
0.500 0.500 0.000
0.251 0.251 0.000
0.251 0.251 0.502
0.251 0.749 0.000
0.749 0.251 0.000
0.749 0.749 0.000
0.749 0.749 0.498
```

Top 10 peaks for 10° ≤ 2θ ≤ 90°, most intense first:
| 2theta | Rel. int. |
| --- | --- |
| 29.49 | 100 |
| 42.19 | 51 |
| 52.32 | 39 |
| 61.20 | 30 |
| 36.33 | 27 |
| 84.66 | 20 |
| 69.35 | 11 |
| 77.14 | 9 |
| 73.30 | 8 |
| 69.45 | 6 |